# CaV3P4O14
Simulated PXRD pattern, Cu Kα (λ = 1.5418 Å). Input: a DFT-relaxed cell (GGA+U, the Materials Project).
No peak broadening, texture or thermal motion is included.

Crystal structure
Unit cell a=7.609 b=7.863 c=9.618 alpha=90.00 beta=111.80 gamma=90.00
Atoms (fractional coordinates):
Ca 0.000 0.000 0.000
Ca 0.000 0.500 0.500
V 0.312 0.129 0.474
V 0.312 0.371 0.974
V 0.500 0.000 0.000
V 0.500 0.500 0.500
V 0.688 0.629 0.026
V 0.688 0.871 0.526
P 0.100 0.064 0.706
P 0.100 0.436 0.206
P 0.376 0.703 0.189
P 0.376 0.797 0.689
P 0.624 0.203 0.311
P 0.624 0.297 0.811
P 0.900 0.564 0.794
P 0.900 0.936 0.294
O 0.098 0.522 0.799
O 0.098 0.978 0.299
O 0.119 0.191 0.592
O 0.119 0.309 0.092
O 0.177 0.618 0.177
O 0.177 0.882 0.677
O 0.225 0.116 0.870
O 0.225 0.384 0.370
O 0.322 0.628 0.606
O 0.322 0.872 0.106
O 0.466 0.581 0.111
O 0.466 0.919 0.611
O 0.489 0.714 0.358
O 0.489 0.786 0.858
O 0.511 0.214 0.142
O 0.511 0.286 0.642
O 0.534 0.081 0.389
O 0.534 0.419 0.889
O 0.678 0.128 0.894
O 0.678 0.372 0.394
O 0.775 0.616 0.630
O 0.775 0.884 0.130
O 0.823 0.118 0.323
O 0.823 0.382 0.823
O 0.881 0.691 0.908
O 0.881 0.809 0.408
O 0.902 0.022 0.701
O 0.902 0.478 0.201

Principal peaks in the range 2θ = 10–80°, sorted by position:
2θ (°), d [Å], I_rel
17.05, 5.200, 33.2
25.96, 3.433, 46.1
27.30, 3.266, 35.6
28.13, 3.172, 100.0
29.50, 3.028, 97.4
29.62, 3.016, 72.4
29.81, 2.997, 56.3
32.15, 2.784, 36.3
32.58, 2.748, 47.1
33.35, 2.687, 45.5
35.71, 2.515, 53.2
35.91, 2.501, 36.9

---

# CaV4P4O20
Simulated PXRD pattern, Cu Kα (λ = 1.5418 Å). Input: a DFT-relaxed cell (GGA+U, the Materials Project).
No peak broadening, texture or thermal motion is included.

Crystal structure
Unit cell a=5.299 b=7.349 c=10.369 alpha=70.80 beta=75.63 gamma=69.69
Atoms (fractional coordinates):
Ca 0.000 0.000 0.000
V 0.000 0.000 0.500
V 0.064 0.707 0.281
V 0.500 0.500 0.000
V 0.936 0.293 0.719
P 0.315 0.578 0.705
P 0.417 0.040 0.214
P 0.583 0.960 0.786
P 0.685 0.422 0.295
O 0.013 0.189 0.575
O 0.124 0.486 0.673
O 0.215 0.649 0.096
O 0.234 0.804 0.628
O 0.250 0.937 0.173
O 0.275 0.554 0.863
O 0.278 0.083 0.799
O 0.310 0.047 0.366
O 0.388 0.515 0.351
O 0.390 0.251 0.112
O 0.610 0.749 0.888
O 0.612 0.485 0.649
O 0.690 0.953 0.634
O 0.722 0.917 0.201
O 0.725 0.446 0.137
O 0.750 0.063 0.827
O 0.766 0.196 0.372
O 0.785 0.351 0.904
O 0.876 0.514 0.327
O 0.987 0.811 0.425

Principal peaks in the range 2θ = 10–80°, sorted by position:
2θ (°), d [Å], I_rel
18.10, 4.902, 19.7
18.32, 4.843, 25.8
18.98, 4.675, 28.6
19.10, 4.647, 48.5
21.71, 4.094, 24.5
26.84, 3.321, 80.8
27.27, 3.270, 100.0
27.42, 3.253, 26.5
27.71, 3.220, 46.4
30.76, 2.907, 18.3
31.07, 2.878, 20.8
32.08, 2.790, 32.2

---

# CaV2P2O10
Simulated PXRD pattern, Cu Kα (λ = 1.5418 Å). Input: a DFT-relaxed cell (GGA+U, the Materials Project).
No peak broadening, texture or thermal motion is included.

Crystal structure
Unit cell a=6.929 b=6.929 c=8.826 alpha=102.61 beta=102.61 gamma=116.36
Atoms (fractional coordinates):
Ca 0.000 0.000 0.000
Ca 0.234 0.745 0.497
V 0.143 0.385 0.762
V 0.620 0.404 0.240
V 0.625 0.911 0.263
V 0.636 0.367 0.734
P 0.036 0.543 0.087
P 0.204 0.204 0.415
P 0.455 0.968 0.911
P 0.785 0.801 0.581
O 0.000 0.037 0.698
O 0.076 0.360 0.973
O 0.178 0.398 0.526
O 0.239 0.715 0.801
O 0.275 0.756 0.196
O 0.318 0.307 0.292
O 0.344 0.140 0.528
O 0.378 0.108 0.027
O 0.407 0.415 0.827
O 0.548 0.085 0.800
O 0.575 0.591 0.165
O 0.613 0.836 0.469
O 0.640 0.940 0.036
O 0.671 0.175 0.329
O 0.688 0.662 0.694
O 0.832 0.344 0.671
O 0.861 0.661 0.469
O 0.904 0.617 0.972
O 0.908 0.450 0.200
O 0.959 0.992 0.297

Principal peaks in the range 2θ = 10–80°, sorted by position:
2θ (°), d [Å], I_rel
21.92, 4.056, 23.5
26.36, 3.381, 66.6
28.76, 3.104, 50.1
30.78, 2.905, 44.6
30.88, 2.896, 42.5
31.34, 2.854, 100.0
36.58, 2.456, 30.5
44.69, 2.028, 18.6
47.07, 1.931, 16.6
52.59, 1.740, 28.9
55.24, 1.663, 22.5
63.18, 1.472, 17.2